The following is a simulated powder XRD pattern of NdTmSnPt. It was derived from a crystal structure in Alexandria, relaxed with PBE, using copper Kα.

Largest 10 diffraction maxima, sorted by position, 10 to 90 degrees two-theta:
2θ = 20.91°, d = 4.249 Å, rel. 3; 2θ = 34.47°, d = 2.602 Å, rel. 100; 2θ = 40.66°, d = 2.219 Å, rel. 2; 2θ = 49.54°, d = 1.840 Å, rel. 18; 2θ = 54.34°, d = 1.688 Å, rel. 1; 2θ = 61.75°, d = 1.502 Å, rel. 38; 2θ = 65.95°, d = 1.416 Å, rel. 1; 2θ = 72.68°, d = 1.301 Å, rel. 12; 2θ = 76.59°, d = 1.244 Å, rel. 1; 2θ = 82.98°, d = 1.164 Å, rel. 17

Atomic structure:
```
data_NdTmSnPt
_cell_length_a 7.3595
_cell_length_b 7.3595
_cell_length_c 7.3595
_cell_angle_alpha 90.00
_cell_angle_beta 90.00
_cell_angle_gamma 90.00
_symmetry_space_group_name_H-M 'F -4 3 m'
_symmetry_Int_Tables_number 216
_symmetry_space_group_name_Hall 'F -4 2 3'
loop_
_atom_site_label
_atom_site_fract_x
_atom_site_fract_y
_atom_site_fract_z
Nd1 0.0000 0.0000 0.0000
Tm1 0.0000 0.0000 0.5000
Sn1 0.2500 0.2500 0.7500
Pt1 0.2500 0.2500 0.2500
```